Calculated X-ray powder pattern of Y14PuTh for a wavelength of 1.5418 Å, from a DFT-relaxed cell (GGA-PBE, Alexandria).

Largest 10 diffraction maxima, in order of falling intensity, 10° ≤ 2θ ≤ 90°:
2theta	I/Imax
32.56	100
28.40	25
31.47	24
56.72	20
42.90	17
60.49	14
50.24	13
61.26	11
60.64	7
50.40	6

Atomic structure:
abc: 11.371 7.264 7.264
angles: 59.80 90.00 90.00
Sites, in units of the cell vectors:
Y: 0.000 0.000 0.000
Y: 0.000 0.000 0.500
Y: 0.000 0.499 0.499
Y: 0.000 0.500 0.000
Y: 0.249 0.165 0.165
Y: 0.250 0.665 0.665
Y: 0.252 0.169 0.667
Y: 0.252 0.667 0.169
Y: 0.500 0.002 0.499
Y: 0.500 0.499 0.002
Y: 0.748 0.169 0.667
Y: 0.748 0.667 0.169
Y: 0.750 0.665 0.665
Y: 0.751 0.165 0.165
Pu: 0.500 0.500 0.500
Th: 0.500 0.000 0.000

***

Calculated X-ray powder pattern of PuThZn17 for a wavelength of 1.5418 Å, from a DFT-relaxed cell (GGA-PBE, Alexandria).

Largest 10 diffraction maxima, in order of falling intensity, 10° ≤ 2θ ≤ 90°:
2theta	I/Imax
40.16	100
39.93	60
28.25	47
40.86	47
34.40	44
58.45	26
35.50	26
72.53	23
73.89	20
41.13	19

Atomic structure:
abc: 6.835 6.835 6.835
angles: 82.69 82.69 82.69
Sites, in units of the cell vectors:
Pu: 0.000 0.000 0.000
Th: 0.327 0.327 0.327
Zn: 0.014 0.014 0.506
Zn: 0.014 0.506 0.014
Zn: 0.164 0.663 0.663
Zn: 0.310 0.310 0.827
Zn: 0.310 0.827 0.310
Zn: 0.369 0.665 0.957
Zn: 0.369 0.957 0.665
Zn: 0.506 0.014 0.014
Zn: 0.565 0.565 0.565
Zn: 0.663 0.164 0.663
Zn: 0.663 0.663 0.164
Zn: 0.665 0.369 0.957
Zn: 0.665 0.957 0.369
Zn: 0.765 0.765 0.765
Zn: 0.827 0.310 0.310
Zn: 0.957 0.369 0.665
Zn: 0.957 0.665 0.369

***

Calculated X-ray powder pattern of PuTi3 for a wavelength of 1.5418 Å, from a DFT-relaxed cell (GGA-PBE, Alexandria).

Largest 10 diffraction maxima, in order of falling intensity, 10° ≤ 2θ ≤ 90°:
2theta	I/Imax
37.20	100
23.67	75
42.80	34
74.69	25
21.62	23
49.49	23
39.18	22
29.90	22
63.10	21
44.05	15

Atomic structure:
abc: 5.083 5.083 5.083
angles: 130.87 130.87 72.02
Sites, in units of the cell vectors:
Pu: 0.000 0.000 0.000
Ti: 0.250 0.750 0.500
Ti: 0.500 0.500 0.000
Ti: 0.750 0.250 0.500

***

Calculated X-ray powder pattern of Pu3Tl4 for a wavelength of 1.5418 Å, from a DFT-relaxed cell (GGA-PBE, Alexandria).

Largest 10 diffraction maxima, in order of falling intensity, 10° ≤ 2θ ≤ 90°:
2theta	I/Imax
34.02	100
37.14	56
32.88	43
55.07	33
29.34	32
60.79	21
57.35	20
71.54	20
54.28	11
86.53	10

Atomic structure:
abc: 6.095 6.095 6.075
angles: 90.00 90.00 120.00
Sites, in units of the cell vectors:
Pu: 0.000 0.500 0.000
Pu: 0.500 0.000 0.000
Pu: 0.500 0.500 0.000
Tl: 0.000 0.000 0.260
Tl: 0.000 0.000 0.740
Tl: 0.333 0.667 0.500
Tl: 0.667 0.333 0.500

***

Calculated X-ray powder pattern of Pu3Tl2 for a wavelength of 1.5418 Å, from a DFT-relaxed cell (GGA-PBE, Alexandria).

Largest 10 diffraction maxima, in order of falling intensity, 10° ≤ 2θ ≤ 90°:
2theta	I/Imax
34.46	100
34.99	91
36.62	90
34.09	71
61.00	33
21.49	28
71.75	25
55.73	22
53.56	22
25.71	21

Atomic structure:
abc: 5.515 5.515 9.473
angles: 90.00 90.00 112.86
Sites, in units of the cell vectors:
Pu: 0.096 0.387 0.665
Pu: 0.215 0.785 0.500
Pu: 0.387 0.096 0.165
Pu: 0.613 0.904 0.665
Pu: 0.785 0.215 0.000
Pu: 0.904 0.613 0.165
Tl: 0.101 0.899 0.846
Tl: 0.416 0.584 0.978
Tl: 0.584 0.416 0.478
Tl: 0.899 0.101 0.346

***

Calculated X-ray powder pattern of Pu4Tl3 for a wavelength of 1.5418 Å, from a DFT-relaxed cell (GGA-PBE, Alexandria).

Largest 10 diffraction maxima, in order of falling intensity, 10° ≤ 2θ ≤ 90°:
2theta	I/Imax
34.84	100
36.83	73
32.68	66
55.03	56
28.81	54
33.39	48
71.02	35
59.69	32
85.55	22
58.36	21

Atomic structure:
abc: 6.197 6.197 5.871
angles: 90.00 90.00 120.00
Sites, in units of the cell vectors:
Pu: 0.000 0.000 0.248
Pu: 0.000 0.000 0.752
Pu: 0.333 0.667 0.000
Pu: 0.667 0.333 0.000
Tl: 0.000 0.500 0.500
Tl: 0.500 0.000 0.500
Tl: 0.500 0.500 0.500

***

Calculated X-ray powder pattern of Tm3PuTl4 for a wavelength of 1.5418 Å, from a DFT-relaxed cell (GGA-PBE, Alexandria).

Largest 10 diffraction maxima, in order of falling intensity, 10° ≤ 2θ ≤ 90°:
2theta	I/Imax
33.65	100
33.39	51
59.84	39
60.34	19
47.94	19
70.74	12
48.71	9
79.93	9
80.07	9
81.25	8

Atomic structure:
abc: 10.738 7.478 5.366
angles: 90.00 90.00 90.00
Sites, in units of the cell vectors:
Tm: 0.000 0.000 0.000
Tm: 0.250 0.000 0.497
Tm: 0.250 0.500 0.497
Tm: 0.500 0.000 0.000
Tm: 0.750 0.000 0.503
Tm: 0.750 0.500 0.503
Pu: 0.000 0.500 0.000
Pu: 0.500 0.500 0.000
Tl: 0.000 0.243 0.500
Tl: 0.000 0.757 0.500
Tl: 0.250 0.243 0.996
Tl: 0.250 0.757 0.996
Tl: 0.500 0.243 0.500
Tl: 0.500 0.757 0.500
Tl: 0.750 0.243 0.004
Tl: 0.750 0.757 0.004

***

Calculated X-ray powder pattern of TmPu3Tl4 for a wavelength of 1.5418 Å, from a DFT-relaxed cell (GGA-PBE, Alexandria).

Largest 10 diffraction maxima, in order of falling intensity, 10° ≤ 2θ ≤ 90°:
2theta	I/Imax
32.69	100
38.01	34
65.33	28
54.65	23
37.76	17
64.99	13
68.50	12
54.84	12
81.27	4
80.66	2

Atomic structure:
abc: 3.348 3.348 19.059
angles: 90.00 90.00 90.00
Sites, in units of the cell vectors:
Tm: 0.000 0.000 0.000
Pu: 0.000 0.000 0.246
Pu: 0.000 0.000 0.500
Pu: 0.000 0.000 0.754
Tl: 0.500 0.500 0.120
Tl: 0.500 0.500 0.373
Tl: 0.500 0.500 0.627
Tl: 0.500 0.500 0.880

***

Calculated X-ray powder pattern of YPuTl4 for a wavelength of 1.5418 Å, from a DFT-relaxed cell (GGA-PBE, Alexandria).

Largest 10 diffraction maxima, in order of falling intensity, 10° ≤ 2θ ≤ 90°:
2theta	I/Imax
32.57	100
34.22	22
34.44	22
60.23	18
60.52	17
49.33	16
68.23	12
44.01	11
56.90	10
57.05	10

Atomic structure:
abc: 6.706 6.706 5.208
angles: 90.00 90.00 133.99
Sites, in units of the cell vectors:
Y: 0.000 0.000 0.000
Pu: 0.500 0.500 0.500
Tl: 0.170 0.830 0.500
Tl: 0.333 0.667 0.000
Tl: 0.667 0.333 0.000
Tl: 0.830 0.170 0.500

***

Calculated X-ray powder pattern of Tm4Pu for a wavelength of 1.5418 Å, from a DFT-relaxed cell (GGA-PBE, Alexandria).

Largest 10 diffraction maxima, in order of falling intensity, 10° ≤ 2θ ≤ 90°:
2theta	I/Imax
33.10	100
34.16	90
32.29	49
62.63	45
29.45	41
52.10	39
57.40	22
59.48	18
42.55	16
63.12	16

Atomic structure:
abc: 14.008 14.008 14.008
angles: 14.40 14.40 14.40
Sites, in units of the cell vectors:
Tm: 0.133 0.133 0.133
Tm: 0.267 0.267 0.267
Tm: 0.733 0.733 0.733
Tm: 0.867 0.867 0.867
Pu: 0.000 0.000 0.000

***

Calculated X-ray powder pattern of Tm3Pu for a wavelength of 1.5418 Å, from a DFT-relaxed cell (GGA-PBE, Alexandria).

Largest 10 diffraction maxima, in order of falling intensity, 10° ≤ 2θ ≤ 90°:
2theta	I/Imax
31.63	100
36.68	51
62.91	43
52.85	36
86.60	18
89.44	17
66.06	12
78.01	6
18.11	2
25.71	2

Atomic structure:
abc: 4.900 4.900 4.900
angles: 90.00 90.00 90.00
Sites, in units of the cell vectors:
Tm: 0.000 0.000 0.500
Tm: 0.000 0.500 0.000
Tm: 0.500 0.000 0.000
Pu: 0.500 0.500 0.500

***

Calculated X-ray powder pattern of Y12Tm7Pu for a wavelength of 1.5418 Å, from a DFT-relaxed cell (GGA-PBE, Alexandria).

Largest 10 diffraction maxima, in order of falling intensity, 10° ≤ 2θ ≤ 90°:
2theta	I/Imax
31.84	100
31.47	63
29.97	52
34.30	30
28.80	24
56.96	24
57.87	22
55.11	20
50.29	20
13.28	16

Atomic structure:
abc: 8.728 8.728 8.728
angles: 99.59 99.59 99.59
Sites, in units of the cell vectors:
Y: 0.000 0.260 0.740
Y: 0.000 0.740 0.260
Y: 0.165 0.602 0.602
Y: 0.260 0.000 0.740
Y: 0.260 0.740 0.000
Y: 0.398 0.398 0.835
Y: 0.398 0.835 0.398
Y: 0.602 0.165 0.602
Y: 0.602 0.602 0.165
Y: 0.740 0.000 0.260
Y: 0.740 0.260 0.000
Y: 0.835 0.398 0.398
Tm: 0.000 0.000 0.000
Tm: 0.151 0.151 0.414
Tm: 0.151 0.414 0.151
Tm: 0.414 0.151 0.151
Tm: 0.586 0.849 0.849
Tm: 0.849 0.586 0.849
Tm: 0.849 0.849 0.586
Pu: 0.500 0.500 0.500

***

Calculated X-ray powder pattern of Y4Tm2Pu for a wavelength of 1.5418 Å, from a DFT-relaxed cell (GGA-PBE, Alexandria).

Largest 10 diffraction maxima, in order of falling intensity, 10° ≤ 2θ ≤ 90°:
2theta	I/Imax
12.71	100
36.40	61
20.72	56
20.89	49
47.49	33
32.21	33
36.69	26
29.94	25
24.66	22
14.61	21

Atomic structure:
abc: 8.507 8.507 8.507
angles: 119.50 119.50 90.88
Sites, in units of the cell vectors:
Y: 0.000 0.316 0.316
Y: 0.000 0.684 0.684
Y: 0.316 0.000 0.316
Y: 0.684 0.000 0.684
Tm: 0.250 0.750 0.500
Tm: 0.750 0.250 0.500
Pu: 0.000 0.000 0.000